1.
The following is a calculated PXRD pattern of U2SbSe2. It was derived from a GGA-PBE-relaxed structure, using CuKα.
No peak broadening, texture or thermal motion is included.

Cell and atoms:
Lattice parameters (Å, degrees): 2.8515 2.8515 16.9759 90.00 90.00 90.00
Sites, in units of the cell vectors:
U1 0.0000 0.0000 0.1910
U2 0.0000 0.0000 0.8090
Sb1 0.0000 0.0000 0.0000
Se1 0.0000 0.0000 0.3565
Se2 0.0000 0.0000 0.6435

Most intense lines, 5 to 70 degrees two-theta, in order of rising 2θ:
5.2 deg, I 100
10.4 deg, I 42
26.2 deg, I 30
31.4 deg, I 60
31.6 deg, I 14
33.1 deg, I 12
41.3 deg, I 37
45.0 deg, I 22
45.1 deg, I 20
52.8 deg, I 18

2.
The following is a calculated PXRD pattern of Zr5Sb3Se. It was derived from a GGA-PBE-relaxed structure, using CuKα.
No peak broadening, texture or thermal motion is included.

Cell and atoms:
Lattice parameters (Å, degrees): 8.5639 8.5639 6.1807 90.00 90.00 120.00
Sites, in units of the cell vectors:
Zr1 0.0000 0.2608 0.2500
Zr2 0.0000 0.7392 0.7500
Zr3 0.2608 0.0000 0.2500
Zr4 0.2608 0.2608 0.7500
Zr5 0.3333 0.6667 0.0000
Zr6 0.3333 0.6667 0.5000
Zr7 0.6667 0.3333 0.0000
Zr8 0.6667 0.3333 0.5000
Zr9 0.7392 0.0000 0.7500
Zr10 0.7392 0.7392 0.2500
Sb1 0.0000 0.3952 0.7500
Sb2 0.0000 0.6048 0.2500
Sb3 0.3952 0.0000 0.7500
Sb4 0.3952 0.3952 0.2500
Sb5 0.6048 0.0000 0.2500
Sb6 0.6048 0.6048 0.7500
Se1 0.0000 0.0000 0.0000
Se2 0.0000 0.0000 0.5000

Most intense lines, 5 to 70 degrees two-theta, in order of rising 2θ:
28.9 deg, I 15
35.2 deg, I 79
35.8 deg, I 100
36.3 deg, I 64
46.5 deg, I 24
52.0 deg, I 20
55.3 deg, I 21
59.9 deg, I 11
65.1 deg, I 10
68.7 deg, I 10

3.
The following is a calculated PXRD pattern of Tb5Si2Sb2. It was derived from a GGA-PBE-relaxed structure, using CuKα.
No peak broadening, texture or thermal motion is included.

Cell and atoms:
Lattice parameters (Å, degrees): 8.5604 8.5604 7.8900 90.00 90.00 54.69
Sites, in units of the cell vectors:
Tb1 0.0000 0.0000 0.0000
Tb2 0.0425 0.7041 0.6684
Tb3 0.2041 0.5425 0.1684
Tb4 0.2959 0.9575 0.6684
Tb5 0.4575 0.7959 0.1684
Tb6 0.5000 0.5000 0.5000
Tb7 0.5425 0.2041 0.8316
Tb8 0.7041 0.0425 0.3316
Tb9 0.7959 0.4575 0.8316
Tb10 0.9575 0.2959 0.3316
Si1 0.1263 0.8737 0.3745
Si2 0.3737 0.6263 0.8745
Si3 0.6263 0.3737 0.1255
Si4 0.8737 0.1263 0.6255
Sb1 0.2062 0.2062 0.0000
Sb2 0.2938 0.2938 0.5000
Sb3 0.7062 0.7062 0.5000
Sb4 0.7938 0.7938 0.0000

Most intense lines, 5 to 70 degrees two-theta, in order of rising 2θ:
25.3 deg, I 49
25.9 deg, I 42
30.9 deg, I 49
32.1 deg, I 48
32.7 deg, I 100
33.6 deg, I 58
34.7 deg, I 62
36.6 deg, I 91
39.1 deg, I 22
58.2 deg, I 34

4.
The following is a calculated PXRD pattern of Ti5SiSb2. It was derived from a GGA-PBE-relaxed structure, using CuKα.
No peak broadening, texture or thermal motion is included.

Cell and atoms:
Lattice parameters (Å, degrees): 7.8201 7.8201 7.8201 96.12 96.12 141.90
Sites, in units of the cell vectors:
Ti1 0.0725 0.7916 0.8641
Ti2 0.2084 0.0725 0.2809
Ti3 0.2500 0.7500 0.5000
Ti4 0.2916 0.5725 0.8641
Ti5 0.4275 0.2916 0.7191
Ti6 0.5725 0.7084 0.2809
Ti7 0.7084 0.4275 0.1359
Ti8 0.7500 0.2500 0.5000
Ti9 0.7916 0.9275 0.7191
Ti10 0.9275 0.2084 0.1359
Si1 0.2500 0.2500 0.0000
Si2 0.7500 0.7500 0.0000
Sb1 0.1643 0.3357 0.5000
Sb2 0.3357 0.8357 0.1714
Sb3 0.6643 0.1643 0.8286
Sb4 0.8357 0.6643 0.5000

Most intense lines, 5 to 70 degrees two-theta, in order of rising 2θ:
25.8 deg, I 60
35.2 deg, I 25
35.6 deg, I 18
36.5 deg, I 30
38.5 deg, I 22
39.3 deg, I 27
39.7 deg, I 100
50.3 deg, I 18
51.6 deg, I 16
66.1 deg, I 20

5.
The following is a calculated PXRD pattern of Tm5Si2Sb2. It was derived from a GGA-PBE-relaxed structure, using CuKα.
No peak broadening, texture or thermal motion is included.

Cell and atoms:
Lattice parameters (Å, degrees): 8.4160 8.4160 7.7586 90.00 90.00 54.72
Sites, in units of the cell vectors:
Tm1 0.0000 0.0000 0.0000
Tm2 0.0402 0.7102 0.6645
Tm3 0.2102 0.5402 0.1645
Tm4 0.2898 0.9598 0.6645
Tm5 0.4598 0.7898 0.1645
Tm6 0.5000 0.5000 0.5000
Tm7 0.5402 0.2102 0.8355
Tm8 0.7102 0.0402 0.3355
Tm9 0.7898 0.4598 0.8355
Tm10 0.9598 0.2898 0.3355
Si1 0.1334 0.8666 0.3678
Si2 0.3666 0.6334 0.8678
Si3 0.6334 0.3666 0.1322
Si4 0.8666 0.1334 0.6322
Sb1 0.2061 0.2061 0.0000
Sb2 0.2939 0.2939 0.5000
Sb3 0.7061 0.7061 0.5000
Sb4 0.7939 0.7939 0.0000

Most intense lines, 5 to 70 degrees two-theta, in order of rising 2θ:
25.7 deg, I 54
26.4 deg, I 47
31.4 deg, I 49
32.7 deg, I 44
33.3 deg, I 92
34.2 deg, I 62
35.3 deg, I 67
37.2 deg, I 100
39.8 deg, I 26
59.3 deg, I 36

6.
The following is a calculated PXRD pattern of Zr5SiSb3. It was derived from a GGA-PBE-relaxed structure, using CuKα.
No peak broadening, texture or thermal motion is included.

Cell and atoms:
Lattice parameters (Å, degrees): 8.6822 8.6822 5.8369 90.00 90.00 120.00
Sites, in units of the cell vectors:
Zr1 0.0000 0.2604 0.2500
Zr2 0.0000 0.7396 0.7500
Zr3 0.2604 0.0000 0.2500
Zr4 0.2604 0.2604 0.7500
Zr5 0.3333 0.6667 0.0000
Zr6 0.3333 0.6667 0.5000
Zr7 0.6667 0.3333 0.0000
Zr8 0.6667 0.3333 0.5000
Zr9 0.7396 0.0000 0.7500
Zr10 0.7396 0.7396 0.2500
Si1 0.0000 0.0000 0.0000
Si2 0.0000 0.0000 0.5000
Sb1 0.0000 0.3951 0.7500
Sb2 0.0000 0.6049 0.2500
Sb3 0.3951 0.0000 0.7500
Sb4 0.3951 0.3951 0.2500
Sb5 0.6049 0.0000 0.2500
Sb6 0.6049 0.6049 0.7500

Most intense lines, 5 to 70 degrees two-theta, in order of rising 2θ:
30.6 deg, I 21
31.5 deg, I 17
35.1 deg, I 100
35.8 deg, I 70
37.1 deg, I 93
46.2 deg, I 30
52.5 deg, I 18
57.4 deg, I 23
65.7 deg, I 17
67.9 deg, I 13

7.
The following is a calculated PXRD pattern of Sm2Sb. It was derived from a GGA-PBE-relaxed structure, using CuKα.
No peak broadening, texture or thermal motion is included.

Cell and atoms:
Lattice parameters (Å, degrees): 4.5271 4.5271 17.5034 90.00 90.00 90.00
Sites, in units of the cell vectors:
Sm1 0.0000 0.0000 0.1786
Sm2 0.0000 0.0000 0.8214
Sm3 0.0000 0.5000 0.0000
Sm4 0.0000 0.5000 0.5000
Sm5 0.5000 0.0000 0.0000
Sm6 0.5000 0.0000 0.5000
Sm7 0.5000 0.5000 0.3214
Sm8 0.5000 0.5000 0.6786
Sb1 0.0000 0.0000 0.3616
Sb2 0.0000 0.0000 0.6384
Sb3 0.5000 0.5000 0.1384
Sb4 0.5000 0.5000 0.8616

Most intense lines, 5 to 70 degrees two-theta, in order of rising 2θ:
29.7 deg, I 100
30.6 deg, I 39
32.3 deg, I 30
34.7 deg, I 84
39.8 deg, I 58
51.1 deg, I 42
57.6 deg, I 20
66.1 deg, I 20
66.7 deg, I 21
69.0 deg, I 23

8.
The following is a calculated PXRD pattern of Sm2Sb5. It was derived from a GGA-PBE-relaxed structure, using CuKα.
No peak broadening, texture or thermal motion is included.

Cell and atoms:
Lattice parameters (Å, degrees): 13.4364 4.2190 15.0656 90.00 101.97 90.00
Sites, in units of the cell vectors:
Sm1 0.0472 0.2500 0.3605
Sm2 0.3311 0.2500 0.5767
Sm3 0.3367 0.2500 0.8562
Sm4 0.3931 0.7500 0.2281
Sm5 0.6069 0.2500 0.7719
Sm6 0.6633 0.7500 0.1438
Sm7 0.6689 0.7500 0.4233
Sm8 0.9528 0.7500 0.6395
Sb1 0.0288 0.2500 0.1008
Sb2 0.1395 0.2500 0.6775
Sb3 0.1426 0.7500 0.2187
Sb4 0.1426 0.7500 0.5206
Sb5 0.1502 0.7500 0.8245
Sb6 0.2815 0.2500 0.0611
Sb7 0.2870 0.2500 0.3515
Sb8 0.4205 0.7500 0.0250
Sb9 0.4249 0.7500 0.7348
Sb10 0.4264 0.7500 0.4450
Sb11 0.5736 0.2500 0.5550
Sb12 0.5751 0.2500 0.2652
Sb13 0.5795 0.2500 0.9750
Sb14 0.7130 0.7500 0.6485
Sb15 0.7185 0.7500 0.9389
Sb16 0.8498 0.2500 0.1755
Sb17 0.8574 0.2500 0.4794
Sb18 0.8574 0.2500 0.7813
Sb19 0.8605 0.7500 0.3225
Sb20 0.9712 0.7500 0.8992

Most intense lines, 5 to 70 degrees two-theta, in order of rising 2θ:
26.5 deg, I 37
28.2 deg, I 36
29.4 deg, I 76
29.6 deg, I 81
34.1 deg, I 86
34.6 deg, I 100
35.5 deg, I 84
35.8 deg, I 25
42.9 deg, I 63
66.7 deg, I 25

> Which formula does entry 1 have?

U2SbSe2

Repeat the fourth record exactly.
The following is a calculated PXRD pattern of Ti5SiSb2. It was derived from a GGA-PBE-relaxed structure, using CuKα.
No peak broadening, texture or thermal motion is included.

Cell and atoms:
Lattice parameters (Å, degrees): 7.8201 7.8201 7.8201 96.12 96.12 141.90
Sites, in units of the cell vectors:
Ti1 0.0725 0.7916 0.8641
Ti2 0.2084 0.0725 0.2809
Ti3 0.2500 0.7500 0.5000
Ti4 0.2916 0.5725 0.8641
Ti5 0.4275 0.2916 0.7191
Ti6 0.5725 0.7084 0.2809
Ti7 0.7084 0.4275 0.1359
Ti8 0.7500 0.2500 0.5000
Ti9 0.7916 0.9275 0.7191
Ti10 0.9275 0.2084 0.1359
Si1 0.2500 0.2500 0.0000
Si2 0.7500 0.7500 0.0000
Sb1 0.1643 0.3357 0.5000
Sb2 0.3357 0.8357 0.1714
Sb3 0.6643 0.1643 0.8286
Sb4 0.8357 0.6643 0.5000

Most intense lines, 5 to 70 degrees two-theta, in order of rising 2θ:
25.8 deg, I 60
35.2 deg, I 25
35.6 deg, I 18
36.5 deg, I 30
38.5 deg, I 22
39.3 deg, I 27
39.7 deg, I 100
50.3 deg, I 18
51.6 deg, I 16
66.1 deg, I 20